Starting from a crystal structure in Alexandria, relaxed with GGA+U, the powder diffraction line list of Tm2UFeO8 was calculated for Cu Kα (weighted mean of Kα1 and Kα2).
Intensities are scaled so that the largest is 100.

Peak list (12 most intense, 2θ = 10–90°, sorted by position)
Position (°2θ)  I_rel
13.23  12.2
22.28  26.1
24.90  60.8
25.78  53.4
32.25  100.0
36.15  30.2
48.71  42.0
49.71  36.8
61.16  10.7
62.56  22.7
84.04  10.8
86.38  11.3

abc: 6.911 7.152 6.692
angles: 90.00 90.00 90.00
Space group Cmmm (No. 65)
Asymmetric unit:
Tm1 0.000 0.000 0.239 x4
U1 0.000 0.500 0.500 x2
Fe1 0.000 0.500 0.000 x2
O1 0.000 0.315 0.253 x8
O2 0.204 0.000 0.500 x4
O3 0.215 0.000 0.000 x4